Entry 1:
For YScSe3, a PBE-relaxed structure gives the computed XRD peak list in this record (Cu Kα X-rays).
Neutral-atom scattering factors, no anomalous dispersion.

Top 10 peaks for 5° ≤ 2θ ≤ 70°, in order of rising 2θ:
- (2 0 -2), 20.63°, intensity 69
- (1 1 -1), 23.40°, intensity 92
- (1 1 1), 24.77°, intensity 48
- (1 1 2), 31.13°, intensity 39
- (6 0 0), 35.32°, intensity 47
- (5 1 0), 36.31°, intensity 33
- (1 1 -3), 36.73°, intensity 96
- (5 1 1), 39.99°, intensity 100
- (0 2 0), 42.74°, intensity 51
- (7 1 -3), 50.02°, intensity 45

Structural model:
```
data_YScSe3
_chemical_formula_sum 'Y4 Sc4 Se12'
_cell_length_a 15.8259
_cell_length_b 4.2311
_cell_length_c 9.0258
_cell_angle_alpha 90.00
_cell_angle_beta 105.54
_cell_angle_gamma 90.00
_symmetry_space_group_name_H-M 'C 1 2/m 1'
_symmetry_Int_Tables_number 12
_symmetry_space_group_name_Hall '-C 2y'
loop_
_atom_site_label
_atom_site_fract_x
_atom_site_fract_y
_atom_site_fract_z
Y1 0.1304 0.0000 0.3546
Sc1 0.1551 0.5000 0.8669
Se1 0.0146 0.5000 0.2400
Se2 0.1620 0.0000 0.0421
Se3 0.1824 0.5000 0.5910
```



Entry 2:
For Y3Sc4Se8, a PBE-relaxed structure gives the computed XRD peak list in this record (Cu Kα X-rays).
Neutral-atom scattering factors, no anomalous dispersion.

Top 10 peaks for 5° ≤ 2θ ≤ 70°, in order of rising 2θ:
- (1 1 -1), 13.70°, intensity 3
- (2 0 -1), 15.81°, intensity 7
- (0 2 1), 22.40°, intensity 5
- (0 4 0), 31.91°, intensity 100
- (4 0 0), 45.57°, intensity 12
- (0 4 2), 45.75°, intensity 47
- (4 0 -4), 45.96°, intensity 12
- (4 4 0), 56.70°, intensity 12
- (4 4 -4), 57.03°, intensity 12
- (0 8 0), 66.71°, intensity 11

Structural model:
```
data_Y3Sc4Se8
_chemical_formula_sum 'Y6 Sc8 Se16'
_cell_length_a 11.2123
_cell_length_b 11.2195
_cell_length_c 7.8993
_cell_angle_alpha 90.00
_cell_angle_beta 134.75
_cell_angle_gamma 90.00
_symmetry_space_group_name_H-M 'C 1 2/m 1'
_symmetry_Int_Tables_number 12
_symmetry_space_group_name_Hall '-C 2y'
loop_
_atom_site_label
_atom_site_fract_x
_atom_site_fract_y
_atom_site_fract_z
Y1 0.0000 0.0000 0.0000
Y2 0.2500 0.2500 0.5000
Sc1 0.0000 0.5000 0.0000
Sc2 0.0000 0.5000 0.5000
Sc3 0.2500 0.2500 0.0000
Se1 0.0000 0.2515 0.5000
Se2 0.0000 0.2553 0.0000
Se3 0.2435 0.5000 0.4896
Se4 0.2435 0.5000 0.9974
```



Entry 3:
For YSc3Se4, a PBE-relaxed structure gives the computed XRD peak list in this record (Cu Kα X-rays).
Neutral-atom scattering factors, no anomalous dispersion.

Top 10 peaks for 5° ≤ 2θ ≤ 70°, in order of rising 2θ:
- (1 1 1), 26.62°, intensity 3
- (2 2 0), 27.70°, intensity 3
- (0 2 1), 27.88°, intensity 3
- (2 0 1), 32.20°, intensity 100
- (4 0 0), 45.95°, intensity 12
- (2 4 1), 46.17°, intensity 47
- (0 0 2), 46.41°, intensity 12
- (4 4 0), 57.21°, intensity 12
- (0 4 2), 57.60°, intensity 12
- (4 0 2), 67.36°, intensity 11

Structural model:
```
data_YSc3Se4
_chemical_formula_sum 'Y2 Sc6 Se8'
_cell_length_a 7.9004
_cell_length_b 11.1221
_cell_length_c 3.9132
_cell_angle_alpha 90.00
_cell_angle_beta 90.00
_cell_angle_gamma 90.00
_symmetry_space_group_name_H-M 'C m m m'
_symmetry_Int_Tables_number 65
_symmetry_space_group_name_Hall '-C 2 2'
loop_
_atom_site_label
_atom_site_fract_x
_atom_site_fract_y
_atom_site_fract_z
Y1 0.0000 0.0000 0.0000
Sc1 0.0000 0.5000 0.0000
Sc2 0.2500 0.2500 0.5000
Se1 0.0000 0.2555 0.0000
Se2 0.2389 0.5000 0.5000
```



Entry 4:
For YScSe3, a PBE-relaxed structure gives the computed XRD peak list in this record (Cu Kα X-rays).
Neutral-atom scattering factors, no anomalous dispersion.

Top 10 peaks for 5° ≤ 2θ ≤ 70°, in order of rising 2θ:
- (0 0 2), 14.30°, intensity 19
- (0 1 1), 17.47°, intensity 27
- (1 0 3), 31.30°, intensity 100
- (0 2 0), 32.16°, intensity 46
- (1 1 4), 40.35°, intensity 19
- (0 0 6), 43.86°, intensity 15
- (1 2 3), 45.49°, intensity 64
- (2 0 0), 45.83°, intensity 17
- (0 2 6), 55.42°, intensity 15
- (2 2 0), 57.09°, intensity 17

Structural model:
```
data_YScSe3
_chemical_formula_sum 'Y2 Sc2 Se6'
_cell_length_a 3.9598
_cell_length_b 5.5659
_cell_length_c 12.3858
_cell_angle_alpha 90.00
_cell_angle_beta 90.00
_cell_angle_gamma 90.00
_symmetry_space_group_name_H-M 'I m m 2'
_symmetry_Int_Tables_number 44
_symmetry_space_group_name_Hall 'I 2 -2'
loop_
_atom_site_label
_atom_site_fract_x
_atom_site_fract_y
_atom_site_fract_z
Y1 0.0000 0.0000 0.0000
Sc1 0.0000 0.0000 0.6802
Se1 0.0000 0.5000 0.0308
Se2 0.0000 0.5000 0.3327
Se3 0.0000 0.5000 0.6644
```



Entry 5:
For Y5Sc3Se8, a PBE-relaxed structure gives the computed XRD peak list in this record (Cu Kα X-rays).
Neutral-atom scattering factors, no anomalous dispersion.

Top 10 peaks for 5° ≤ 2θ ≤ 70°, in order of rising 2θ:
- (0 0 3), 13.52°, intensity 2
- (0 2 1), 26.04°, intensity 3
- (0 2 4), 31.53°, intensity 100
- (2 0 5), 34.45°, intensity 3
- (0 0 9), 41.34°, intensity 1
- (2 2 0), 45.20°, intensity 71
- (4 0 4), 56.15°, intensity 24
- (2 2 9), 62.90°, intensity 2
- (0 4 8), 65.83°, intensity 11
- (0 2 13), 67.57°, intensity 1

Structural model:
```
data_Y5Sc3Se8
_chemical_formula_sum 'Y15 Sc9 Se24'
_cell_length_a 8.0259
_cell_length_b 8.0259
_cell_length_c 19.6531
_cell_angle_alpha 90.00
_cell_angle_beta 90.00
_cell_angle_gamma 120.00
_symmetry_space_group_name_H-M 'R -3 m'
_symmetry_Int_Tables_number 166
_symmetry_space_group_name_Hall '-R 3 2"'
loop_
_atom_site_label
_atom_site_fract_x
_atom_site_fract_y
_atom_site_fract_z
Y1 0.0000 0.0000 0.0000
Y2 0.0000 0.0000 0.5000
Y3 0.0000 0.5000 0.0000
Sc1 0.0000 0.5000 0.5000
Se1 0.0000 0.0000 0.2445
Se2 0.0073 0.5037 0.7537
```



Entry 6:
For YScSe3, a PBE-relaxed structure gives the computed XRD peak list in this record (Cu Kα X-rays).
Neutral-atom scattering factors, no anomalous dispersion.

Top 10 peaks for 5° ≤ 2θ ≤ 70°, in order of rising 2θ:
- (2 2 -1), 22.96°, intensity 38
- (1 3 -1), 26.71°, intensity 32
- (1 3 1), 27.71°, intensity 41
- (3 3 -1), 31.96°, intensity 36
- (3 3 1), 34.42°, intensity 100
- (4 0 -2), 34.73°, intensity 53
- (4 0 2), 40.62°, intensity 31
- (5 3 -1), 41.33°, intensity 57
- (1 3 -3), 46.15°, intensity 70
- (0 6 0), 46.54°, intensity 33

Structural model:
```
data_YScSe3
_chemical_formula_sum 'Y8 Sc8 Se24'
_cell_length_a 13.5881
_cell_length_b 11.7088
_cell_length_c 6.8328
_cell_angle_alpha 90.00
_cell_angle_beta 98.61
_cell_angle_gamma 90.00
_symmetry_space_group_name_H-M 'C 1 2/c 1'
_symmetry_Int_Tables_number 15
_symmetry_space_group_name_Hall '-C 2yc'
loop_
_atom_site_label
_atom_site_fract_x
_atom_site_fract_y
_atom_site_fract_z
Y1 0.2382 0.0911 0.3206
Sc1 0.0000 0.2285 0.7500
Sc2 0.0000 0.4158 0.2500
Se1 0.1130 0.4197 0.9507
Se2 0.1146 0.2595 0.4606
Se3 0.1228 0.0840 0.9485
```



Entry 7:
For YScSe3, a PBE-relaxed structure gives the computed XRD peak list in this record (Cu Kα X-rays).
Neutral-atom scattering factors, no anomalous dispersion.

Top 10 peaks for 5° ≤ 2θ ≤ 70°, in order of rising 2θ:
- (0 0 3), 13.75°, intensity 20
- (0 1 2), 17.27°, intensity 6
- (2 -1 3), 29.05°, intensity 100
- (0 2 4), 34.96°, intensity 6
- (2 -1 6), 37.98°, intensity 58
- (3 0 0), 44.88°, intensity 39
- (1 1 9), 49.83°, intensity 21
- (2 2 3), 54.35°, intensity 15
- (2 2 6), 60.21°, intensity 13
- (4 -2 9), 69.29°, intensity 6

Structural model:
```
data_YScSe3
_chemical_formula_sum 'Y6 Sc6 Se18'
_cell_length_a 6.9965
_cell_length_b 6.9965
_cell_length_c 19.3238
_cell_angle_alpha 90.00
_cell_angle_beta 90.00
_cell_angle_gamma 120.00
_symmetry_space_group_name_H-M 'R 3'
_symmetry_Int_Tables_number 146
_symmetry_space_group_name_Hall 'R 3'
loop_
_atom_site_label
_atom_site_fract_x
_atom_site_fract_y
_atom_site_fract_z
Y1 0.0000 0.0000 0.0000
Y2 0.0000 0.0000 0.3102
Sc1 0.0000 0.0000 0.6375
Sc2 0.0000 0.0000 0.8161
Se1 0.0229 0.6757 0.5669
Se2 0.0395 0.3511 0.3966
```



Entry 8:
For ZrScSe3, a PBE-relaxed structure gives the computed XRD peak list in this record (Cu Kα X-rays).
Neutral-atom scattering factors, no anomalous dispersion.

Top 10 peaks for 5° ≤ 2θ ≤ 70°, in order of rising 2θ:
- (1 0 0), 15.42°, intensity 39
- (1 1 1), 30.30°, intensity 100
- (2 0 0), 31.13°, intensity 7
- (1 0 2), 31.81°, intensity 14
- (1 1 2), 38.94°, intensity 77
- (3 0 0), 47.47°, intensity 46
- (1 1 3), 50.60°, intensity 30
- (0 0 4), 57.10°, intensity 9
- (2 2 1), 57.36°, intensity 16
- (2 2 2), 63.02°, intensity 18

Structural model:
```
data_ZrScSe3
_chemical_formula_sum 'Zr2 Sc2 Se6'
_cell_length_a 6.6343
_cell_length_b 6.6343
_cell_length_c 6.4518
_cell_angle_alpha 90.00
_cell_angle_beta 90.00
_cell_angle_gamma 120.00
_symmetry_space_group_name_H-M 'P -6 c 2'
_symmetry_Int_Tables_number 188
_symmetry_space_group_name_Hall 'P -6c 2'
loop_
_atom_site_label
_atom_site_fract_x
_atom_site_fract_y
_atom_site_fract_z
Zr1 0.0000 0.0000 0.0000
Sc1 0.6667 0.3333 0.0000
Se1 0.3359 0.0014 0.2500
```



Entry 9:
For ZrScSe3, a PBE-relaxed structure gives the computed XRD peak list in this record (Cu Kα X-rays).
Neutral-atom scattering factors, no anomalous dispersion.

Top 10 peaks for 5° ≤ 2θ ≤ 70°, in order of rising 2θ:
- (1 1 -1), 18.09°, intensity 11
- (1 3 -1), 28.44°, intensity 8
- (2 0 0), 28.70°, intensity 7
- (2 0 -2), 33.11°, intensity 100
- (0 6 0), 47.20°, intensity 12
- (1 3 -3), 47.45°, intensity 24
- (3 3 -1), 47.58°, intensity 23
- (2 0 2), 47.86°, intensity 11
- (2 6 -2), 58.85°, intensity 12
- (4 0 -4), 69.47°, intensity 11

Structural model:
```
data_ZrScSe3
_chemical_formula_sum 'Zr4 Sc4 Se12'
_cell_length_a 6.6048
_cell_length_b 11.5527
_cell_length_c 6.6262
_cell_angle_alpha 90.00
_cell_angle_beta 109.86
_cell_angle_gamma 90.00
_symmetry_space_group_name_H-M 'C 1 2/m 1'
_symmetry_Int_Tables_number 12
_symmetry_space_group_name_Hall '-C 2y'
loop_
_atom_site_label
_atom_site_fract_x
_atom_site_fract_y
_atom_site_fract_z
Zr1 0.0000 0.1624 0.0000
Sc1 0.0000 0.3332 0.5000
Se1 0.2459 0.5000 0.7471
Se2 0.2490 0.3357 0.2500
```



Entry 10:
For Sc5Si6, a PBE-relaxed structure gives the computed XRD peak list in this record (Cu Kα X-rays).
Neutral-atom scattering factors, no anomalous dispersion.

Top 10 peaks for 5° ≤ 2θ ≤ 70°, in order of rising 2θ:
- (0 10 0), 33.37°, intensity 23
- (1 3 1), 34.74°, intensity 100
- (0 8 1), 35.17°, intensity 37
- (1 7 1), 40.91°, intensity 19
- (1 11 0), 44.42°, intensity 23
- (1 9 1), 45.33°, intensity 28
- (0 0 2), 46.24°, intensity 25
- (2 0 0), 49.12°, intensity 21
- (1 11 2), 66.05°, intensity 14
- (2 0 2), 69.75°, intensity 14

Structural model:
```
data_Sc5Si6
_chemical_formula_sum 'Sc10 Si12'
_cell_length_a 3.7094
_cell_length_b 26.8586
_cell_length_c 3.9267
_cell_angle_alpha 90.00
_cell_angle_beta 90.00
_cell_angle_gamma 90.00
_symmetry_space_group_name_H-M 'C m m m'
_symmetry_Int_Tables_number 65
_symmetry_space_group_name_Hall '-C 2 2'
loop_
_atom_site_label
_atom_site_fract_x
_atom_site_fract_y
_atom_site_fract_z
Sc1 0.0000 0.0000 0.0000
Sc2 0.0000 0.1986 0.5000
Sc3 0.0000 0.3839 0.0000
Si1 0.0000 0.0976 0.5000
Si2 0.0000 0.2797 0.0000
Si3 0.0000 0.4576 0.5000
```



Entry 11:
For Sc5Si3, a PBE-relaxed structure gives the computed XRD peak list in this record (Cu Kα X-rays).
Neutral-atom scattering factors, no anomalous dispersion.

Top 10 peaks for 5° ≤ 2θ ≤ 70°, in order of rising 2θ:
- (0 0 2), 30.73°, intensity 16
- (1 0 2), 33.47°, intensity 26
- (2 1 0), 34.74°, intensity 37
- (2 1 1), 38.13°, intensity 100
- (1 1 2), 38.44°, intensity 81
- (3 0 0), 39.57°, intensity 39
- (2 2 2), 56.35°, intensity 18
- (2 1 3), 59.61°, intensity 24
- (4 1 0), 62.27°, intensity 10
- (4 0 2), 63.12°, intensity 14

Structural model:
```
data_Sc5Si3
_chemical_formula_sum 'Sc10 Si6'
_cell_length_a 7.8894
_cell_length_b 7.8894
_cell_length_c 5.8192
_cell_angle_alpha 90.00
_cell_angle_beta 90.00
_cell_angle_gamma 120.00
_symmetry_space_group_name_H-M 'P 63/m c m'
_symmetry_Int_Tables_number 193
_symmetry_space_group_name_Hall '-P 6c 2'
loop_
_atom_site_label
_atom_site_fract_x
_atom_site_fract_y
_atom_site_fract_z
Sc1 0.0000 0.2416 0.2500
Sc2 0.3333 0.6667 0.0000
Si1 0.0000 0.3951 0.7500
```



Entry 12:
For Sc2Si3, a PBE-relaxed structure gives the computed XRD peak list in this record (Cu Kα X-rays).
Neutral-atom scattering factors, no anomalous dispersion.

Top 10 peaks for 5° ≤ 2θ ≤ 70°, in order of rising 2θ:
- (2 4 0), 32.78°, intensity 29
- (3 1 1), 34.82°, intensity 32
- (0 2 2), 35.97°, intensity 40
- (1 5 1), 38.15°, intensity 100
- (2 0 2), 39.09°, intensity 36
- (3 3 1), 39.60°, intensity 62
- (2 2 2), 41.33°, intensity 60
- (4 2 0), 42.16°, intensity 43
- (1 7 1), 50.57°, intensity 21
- (4 4 2), 59.99°, intensity 13

Structural model:
```
data_Sc2Si3
_chemical_formula_sum 'Sc16 Si24'
_cell_length_a 9.0242
_cell_length_b 13.7319
_cell_length_c 5.3603
_cell_angle_alpha 90.00
_cell_angle_beta 90.00
_cell_angle_gamma 90.00
_symmetry_space_group_name_H-M 'F d d 2'
_symmetry_Int_Tables_number 43
_symmetry_space_group_name_Hall 'F 2 -2d'
loop_
_atom_site_label
_atom_site_fract_x
_atom_site_fract_y
_atom_site_fract_z
Sc1 0.0714 0.1991 0.0000
Si1 0.0000 0.0000 0.1485
Si2 0.0720 0.1195 0.5038
```



Entry 13:
For Sm3ScSi6, a PBE-relaxed structure gives the computed XRD peak list in this record (Cu Kα X-rays).
Neutral-atom scattering factors, no anomalous dispersion.

Top 10 peaks for 5° ≤ 2θ ≤ 70°, in order of rising 2θ:
- (1 1 0), 15.61°, intensity 30
- (2 0 2), 24.17°, intensity 36
- (2 1 1), 25.27°, intensity 24
- (1 1 3), 28.78°, intensity 45
- (2 2 0), 31.51°, intensity 19
- (1 3 1), 33.84°, intensity 100
- (3 1 2), 36.71°, intensity 51
- (0 2 4), 37.18°, intensity 55
- (4 1 3), 49.08°, intensity 32
- (3 3 3), 54.47°, intensity 35

Structural model:
```
data_Sm3ScSi6
_chemical_formula_sum 'Sm18 Sc6 Si36'
_cell_length_a 11.3556
_cell_length_b 11.3556
_cell_length_c 11.1087
_cell_angle_alpha 90.00
_cell_angle_beta 90.00
_cell_angle_gamma 120.00
_symmetry_space_group_name_H-M 'R -3 c'
_symmetry_Int_Tables_number 167
_symmetry_space_group_name_Hall '-R 3 2"c'
loop_
_atom_site_label
_atom_site_fract_x
_atom_site_fract_y
_atom_site_fract_z
Sm1 0.0000 0.4364 0.2500
Sc1 0.0000 0.0000 0.0000
Si1 0.0722 0.2172 0.3372
```